No. 1
The following is a simulated powder diffraction line list of Ho2Cu2Au. It was derived from DFT lattice parameters and positions (GGA-PBE), using Cu Kα (weighted mean of Kα1 and Kα2).
Lines closer than 0.1° are merged.

Most intense lines, 15° ≤ 2θ ≤ 90°, low angle first:
d (Å)  Rel. int.  (hkl)
3.023  28  1 1 2
2.609  100  2 0 2
2.583  31  2 2 0
2.457  100  2 1 2
2.311  64  3 1 0
1.451  29  3 1 4

Atomic structure:
```
data_Ho2Cu2Au
_chemical_formula_sum 'Ho8 Cu8 Au4'
_cell_length_a 7.307
_cell_length_b 7.307
_cell_length_c 7.454
_cell_angle_alpha 90.00
_cell_angle_beta 90.00
_cell_angle_gamma 90.00
_space_group_name_H-M_alt 'P 4/m n c'
_space_group_IT_number 128
_space_group_name_Hall '-P 4 2n'
loop_
_atom_site_label
_atom_site_fract_x
_atom_site_fract_y
_atom_site_fract_z
Ho1 0.180 0.320 0.000
Cu1 0.119 0.619 0.250
Au1 0.000 0.000 0.250
```



No. 2
The following is a simulated powder diffraction line list of HoCu6Au6. It was derived from DFT lattice parameters and positions (GGA-PBE), using Cu Kα (weighted mean of Kα1 and Kα2).
Lines closer than 0.1° are merged.

Most intense lines, 15° ≤ 2θ ≤ 90°, low angle first:
d (Å)  Rel. int.  (hkl)
2.590  100  1 3 0
2.583  41  2 0 0
2.249  61  0 0 4
2.243  98  2 0 2
2.006  59  2 2 2
1.299  43  2 0 6

Atomic structure:
```
data_HoCu6Au6
_chemical_formula_sum 'Ho2 Cu12 Au12'
_cell_length_a 5.166
_cell_length_b 8.975
_cell_length_c 9.008
_cell_angle_alpha 90.00
_cell_angle_beta 90.00
_cell_angle_gamma 90.00
_space_group_name_H-M_alt 'I m m m'
_space_group_IT_number 71
_space_group_name_Hall '-I 2 2'
loop_
_atom_site_label
_atom_site_fract_x
_atom_site_fract_y
_atom_site_fract_z
Ho1 0.000 0.000 0.000
Cu1 0.000 0.500 0.262
Cu2 0.250 0.250 0.250
Au1 0.000 0.000 0.335
Au2 0.000 0.318 0.500
Au3 0.000 0.340 0.000
```



No. 3
The following is a simulated powder diffraction line list of Ho2Cu3Au. It was derived from DFT lattice parameters and positions (GGA-PBE), using Cu Kα (weighted mean of Kα1 and Kα2).
Lines closer than 0.1° are merged.

Most intense lines, 15° ≤ 2θ ≤ 90°, low angle first:
d (Å)  Rel. int.  (hkl)
2.558  100  1 1 1
2.188  20  0 2 0
2.179  38  0 1 3
1.738  10  2 0 0
1.662  18  1 2 2
1.358  16  2 1 3

Atomic structure:
```
data_Ho2Cu3Au
_chemical_formula_sum 'Ho2 Cu3 Au1'
_cell_length_a 3.475
_cell_length_b 4.377
_cell_length_c 7.537
_cell_angle_alpha 90.00
_cell_angle_beta 90.00
_cell_angle_gamma 90.00
_space_group_name_H-M_alt 'P m m 2'
_space_group_IT_number 25
_space_group_name_Hall 'P 2 -2'
loop_
_atom_site_label
_atom_site_fract_x
_atom_site_fract_y
_atom_site_fract_z
Ho1 0.000 0.000 0.000
Ho2 0.000 0.500 0.486
Cu1 0.500 0.000 0.321
Cu2 0.500 0.000 0.644
Cu3 0.500 0.500 0.173
Au1 0.500 0.500 0.828
```



No. 4
The following is a simulated powder diffraction line list of HoTmCuAu. It was derived from DFT lattice parameters and positions (GGA-PBE), using Cu Kα (weighted mean of Kα1 and Kα2).
Lines closer than 0.1° are merged.

Most intense lines, 15° ≤ 2θ ≤ 90°, low angle first:
d (Å)  Rel. int.  (hkl)
4.056  11  1 1 1
2.484  100  2 2 0
1.756  18  4 0 0
1.434  36  4 2 2
1.242  11  4 4 0
1.111  17  6 2 0

Atomic structure:
```
data_HoTmCuAu
_chemical_formula_sum 'Ho4 Tm4 Cu4 Au4'
_cell_length_a 7.025
_cell_length_b 7.025
_cell_length_c 7.025
_cell_angle_alpha 90.00
_cell_angle_beta 90.00
_cell_angle_gamma 90.00
_space_group_name_H-M_alt 'F -4 3 m'
_space_group_IT_number 216
_space_group_name_Hall 'F -4 2 3'
loop_
_atom_site_label
_atom_site_fract_x
_atom_site_fract_y
_atom_site_fract_z
Ho1 0.000 0.000 0.000
Tm1 0.000 0.000 0.500
Cu1 0.250 0.250 0.250
Au1 0.250 0.250 0.750
```



No. 5
The following is a simulated powder diffraction line list of Cu3Au2I8. It was derived from DFT lattice parameters and positions (GGA-PBE), using Cu Kα (weighted mean of Kα1 and Kα2).
Lines closer than 0.1° are merged.

Most intense lines, 15° ≤ 2θ ≤ 90°, low angle first:
d (Å)  Rel. int.  (hkl)
5.124  62  0 2 0
4.612  100  2 2 0
3.484  75  3 1 1
3.202  98  2 2 1
2.264  55  7 3 0
1.902  74  1 3 2

Atomic structure:
```
data_Cu3Au2I8
_chemical_formula_sum 'Cu6 Au4 I16'
_cell_length_a 21.299
_cell_length_b 10.248
_cell_length_c 4.688
_cell_angle_alpha 90.00
_cell_angle_beta 96.34
_cell_angle_gamma 90.00
_space_group_name_H-M_alt 'C 1 2/m 1'
_space_group_IT_number 12
_space_group_name_Hall '-C 2y'
loop_
_atom_site_label
_atom_site_fract_x
_atom_site_fract_y
_atom_site_fract_z
Cu1 0.000 0.000 0.000
Cu2 0.000 0.316 0.500
Au1 0.194 0.500 0.619
I1 0.073 0.500 0.762
I2 0.077 0.174 0.249
I3 0.243 0.000 0.830
```



No. 6
The following is a simulated powder diffraction line list of La8CuAu3I4. It was derived from DFT lattice parameters and positions (GGA-PBE), using Cu Kα (weighted mean of Kα1 and Kα2).
Lines closer than 0.1° are merged.

Most intense lines, 15° ≤ 2θ ≤ 90°, low angle first:
d (Å)  Rel. int.  (hkl)
3.210  100  4 0 0
2.341  36  2 2 2
2.205  37  0 4 0
1.818  20  4 4 0
1.471  13  6 2 2
1.403  17  10 2 -2

Atomic structure:
```
data_La8CuAu3I4
_chemical_formula_sum 'La16 Cu2 Au6 I8'
_cell_length_a 15.286
_cell_length_b 8.815
_cell_length_c 9.401
_cell_angle_alpha 90.00
_cell_angle_beta 122.85
_cell_angle_gamma 90.00
_space_group_name_H-M_alt 'C 1 2/m 1'
_space_group_IT_number 12
_space_group_name_Hall '-C 2y'
loop_
_atom_site_label
_atom_site_fract_x
_atom_site_fract_y
_atom_site_fract_z
La1 0.011 0.246 0.289
La2 0.234 0.000 0.711
La3 0.238 0.500 0.715
Cu1 0.000 0.000 0.500
Au1 0.000 0.500 0.500
Au2 0.250 0.250 0.500
I1 0.000 0.000 0.000
I2 0.000 0.500 0.000
I3 0.250 0.250 0.000
```